Entry 1:
# Cu3Ru4O12
Simulated PXRD pattern, Cu Kα (λ = 1.5418 Å). Input: a DFT-relaxed cell (PBE, Alexandria).

Structural model:
```
data_Cu3Ru4O12
_chemical_formula_sum 'Cu3 Ru4 O12'
_symmetry_space_group_name_H-M 'P 1'
_symmetry_Int_Tables_number 1
_symmetry_space_group_name_Hall 'P 1'
_cell_length_a 6.4080
_cell_length_b 6.4080
_cell_length_c 6.4080
_cell_angle_alpha 109.47
_cell_angle_beta 109.47
_cell_angle_gamma 109.47
loop_
_atom_site_label
_atom_site_type_symbol
_atom_site_fract_x
_atom_site_fract_y
_atom_site_fract_z
_atom_site_occupancy
Cu1 Cu 0.0000 0.5000 0.5000 1
Cu2 Cu 0.5000 0.0000 0.5000 1
Cu3 Cu 0.5000 0.5000 0.0000 1
Ru1 Ru 0.0000 0.0000 0.5000 1
Ru2 Ru 0.0000 0.5000 0.0000 1
Ru3 Ru 0.5000 0.0000 0.0000 1
Ru4 Ru 0.5000 0.5000 0.5000 1
O1 O 0.1364 0.3140 0.8224 1
O2 O 0.1776 0.4916 0.3140 1
O3 O 0.1776 0.8636 0.6860 1
O4 O 0.3140 0.1776 0.4916 1
O5 O 0.3140 0.8224 0.1364 1
O6 O 0.4916 0.3140 0.1776 1
O7 O 0.5084 0.6860 0.8224 1
O8 O 0.6860 0.1776 0.8636 1
O9 O 0.6860 0.8224 0.5084 1
O10 O 0.8224 0.1364 0.3140 1
O11 O 0.8224 0.5084 0.6860 1
O12 O 0.8636 0.6860 0.1776 1
```

The 10 most intense peaks (2θ = 5–70°), low angle first:
2theta, Rel. int.
16.9, 11
24.1, 21
29.6, 7
34.3, 100
38.5, 4
45.9, 3
49.3, 24
52.5, 2
55.5, 10
61.4, 47

=====

Entry 2:
# CuRuO
Simulated PXRD pattern, Cu Kα (λ = 1.5418 Å). Input: a DFT-relaxed cell (PBE, Alexandria).

Structural model:
```
data_CuRuO
_chemical_formula_sum 'Cu2 Ru2 O2'
_symmetry_space_group_name_H-M 'P 1'
_symmetry_Int_Tables_number 1
_symmetry_space_group_name_Hall 'P 1'
_cell_length_a 2.7566
_cell_length_b 4.1111
_cell_length_c 6.1384
_cell_angle_alpha 90.00
_cell_angle_beta 90.07
_cell_angle_gamma 90.00
loop_
_atom_site_label
_atom_site_type_symbol
_atom_site_fract_x
_atom_site_fract_y
_atom_site_fract_z
_atom_site_occupancy
Cu1 Cu 0.2492 0.2500 0.4655 1
Cu2 Cu 0.7508 0.7500 0.5345 1
Ru1 Ru 0.2504 0.7500 0.1668 1
Ru2 Ru 0.7496 0.2500 0.8332 1
O1 O 0.2503 0.2500 0.0857 1
O2 O 0.7497 0.7500 0.9143 1
```

The 10 most intense peaks (2θ = 5–70°), low angle first:
2theta, Rel. int.
26.1, 71
35.7, 92
36.5, 73
42.1, 100
44.1, 80
44.3, 59
49.7, 81
57.9, 42
64.2, 31
68.0, 17

=====

Entry 3:
# CuRu3O12
Simulated PXRD pattern, Cu Kα (λ = 1.5418 Å). Input: a DFT-relaxed cell (PBE, Alexandria).

Structural model:
```
data_CuRu3O12
_chemical_formula_sum 'Cu2 Ru6 O24'
_symmetry_space_group_name_H-M 'P 1'
_symmetry_Int_Tables_number 1
_symmetry_space_group_name_Hall 'P 1'
_cell_length_a 10.5393
_cell_length_b 10.5393
_cell_length_c 10.5393
_cell_angle_alpha 48.58
_cell_angle_beta 48.58
_cell_angle_gamma 48.58
loop_
_atom_site_label
_atom_site_type_symbol
_atom_site_fract_x
_atom_site_fract_y
_atom_site_fract_z
_atom_site_occupancy
Cu1 Cu 0.0000 0.0000 0.0000 1
Cu2 Cu 0.5000 0.5000 0.5000 1
Ru1 Ru 0.1197 0.3909 0.7304 1
Ru2 Ru 0.2304 0.8909 0.6197 1
Ru3 Ru 0.3909 0.7304 0.1197 1
Ru4 Ru 0.6197 0.2304 0.8909 1
Ru5 Ru 0.7304 0.1197 0.3909 1
Ru6 Ru 0.8909 0.6197 0.2304 1
O1 O 0.0172 0.5968 0.0253 1
O2 O 0.0253 0.0172 0.5968 1
O3 O 0.0968 0.5172 0.5253 1
O4 O 0.1402 0.1683 0.8252 1
O5 O 0.1683 0.8252 0.1402 1
O6 O 0.1900 0.8742 0.8202 1
O7 O 0.3202 0.3742 0.6900 1
O8 O 0.3252 0.6683 0.6402 1
O9 O 0.3742 0.6900 0.3202 1
O10 O 0.3816 0.9961 0.4310 1
O11 O 0.4310 0.3816 0.9961 1
O12 O 0.4961 0.8816 0.9310 1
O13 O 0.5172 0.5253 0.0968 1
O14 O 0.5253 0.0968 0.5172 1
O15 O 0.5968 0.0253 0.0172 1
O16 O 0.6402 0.3252 0.6683 1
O17 O 0.6683 0.6402 0.3252 1
O18 O 0.6900 0.3202 0.3742 1
O19 O 0.8202 0.1900 0.8742 1
O20 O 0.8252 0.1402 0.1683 1
O21 O 0.8742 0.8202 0.1900 1
O22 O 0.8816 0.9310 0.4961 1
O23 O 0.9310 0.4961 0.8816 1
O24 O 0.9961 0.4310 0.3816 1
```

The 10 most intense peaks (2θ = 5–70°), low angle first:
2theta, Rel. int.
13.4, 38
19.1, 28
20.5, 10
22.6, 100
27.0, 17
28.2, 39
35.7, 25
35.9, 13
41.0, 17
53.9, 18

=====

Entry 4:
# Sr10CuRu4O20
Simulated PXRD pattern, Cu Kα (λ = 1.5418 Å). Input: a DFT-relaxed cell (PBE, Alexandria).

Structural model:
```
data_Sr10CuRu4O20
_chemical_formula_sum 'Sr10 Cu1 Ru4 O20'
_symmetry_space_group_name_H-M 'P 1'
_symmetry_Int_Tables_number 1
_symmetry_space_group_name_Hall 'P 1'
_cell_length_a 8.9037
_cell_length_b 8.9037
_cell_length_c 8.9037
_cell_angle_alpha 119.88
_cell_angle_beta 119.88
_cell_angle_gamma 90.21
loop_
_atom_site_label
_atom_site_type_symbol
_atom_site_fract_x
_atom_site_fract_y
_atom_site_fract_z
_atom_site_occupancy
Sr1 Sr 0.0659 0.2609 0.6123 1
Sr2 Sr 0.1449 0.1449 0.0000 1
Sr3 Sr 0.2609 0.6486 0.1950 1
Sr4 Sr 0.3514 0.5465 0.6123 1
Sr5 Sr 0.4535 0.0659 0.8050 1
Sr6 Sr 0.5465 0.9341 0.1950 1
Sr7 Sr 0.6486 0.4535 0.3877 1
Sr8 Sr 0.7391 0.3514 0.8050 1
Sr9 Sr 0.8551 0.8551 0.0000 1
Sr10 Sr 0.9341 0.7391 0.3877 1
Cu1 Cu 0.5000 0.5000 0.0000 1
Ru1 Ru 0.0996 0.6997 0.7993 1
Ru2 Ru 0.3003 0.0996 0.3998 1
Ru3 Ru 0.6997 0.9004 0.6002 1
Ru4 Ru 0.9004 0.3003 0.2007 1
O1 O 0.0000 0.5000 0.5000 1
O2 O 0.0632 0.4590 0.2000 1
O3 O 0.1032 0.1986 0.3018 1
O4 O 0.1369 0.9368 0.3958 1
O5 O 0.1986 0.8968 0.0954 1
O6 O 0.2589 0.8631 0.8000 1
O7 O 0.2920 0.6021 0.8942 1
O8 O 0.3373 0.3373 0.0000 1
O9 O 0.3979 0.2920 0.6899 1
O10 O 0.4590 0.2589 0.3958 1
O11 O 0.5000 0.0000 0.5000 1
O12 O 0.5410 0.7411 0.6042 1
O13 O 0.6021 0.7080 0.3101 1
O14 O 0.6627 0.6627 0.0000 1
O15 O 0.7080 0.3979 0.1058 1
O16 O 0.7411 0.1369 0.2000 1
O17 O 0.8014 0.1032 0.9046 1
O18 O 0.8631 0.0632 0.6042 1
O19 O 0.8968 0.8014 0.6982 1
O20 O 0.9368 0.5410 0.8000 1
```

The 10 most intense peaks (2θ = 5–70°), low angle first:
2theta, Rel. int.
14.1, 21
31.0, 100
31.7, 71
42.5, 18
43.2, 15
45.5, 38
54.6, 17
56.0, 38
64.5, 16
66.3, 11

=====

Entry 5:
# SrCuRu2O7
Simulated PXRD pattern, Cu Kα (λ = 1.5418 Å). Input: a DFT-relaxed cell (PBE, Alexandria).

Structural model:
```
data_SrCuRu2O7
_chemical_formula_sum 'Sr1 Cu1 Ru2 O7'
_symmetry_space_group_name_H-M 'P 1'
_symmetry_Int_Tables_number 1
_symmetry_space_group_name_Hall 'P 1'
_cell_length_a 9.5793
_cell_length_b 9.5793
_cell_length_c 9.5793
_cell_angle_alpha 156.87
_cell_angle_beta 156.87
_cell_angle_gamma 32.94
loop_
_atom_site_label
_atom_site_type_symbol
_atom_site_fract_x
_atom_site_fract_y
_atom_site_fract_z
_atom_site_occupancy
Sr1 Sr 0.0000 0.0000 0.0000 1
Cu1 Cu 0.7500 0.2500 0.5000 1
Ru1 Ru 0.3854 0.3854 0.0000 1
Ru2 Ru 0.6146 0.6146 0.0000 1
O1 O 0.1040 0.6040 0.5000 1
O2 O 0.2817 0.2817 0.0000 1
O3 O 0.3960 0.8960 0.5000 1
O4 O 0.5000 0.5000 0.0000 1
O5 O 0.6093 0.1093 0.5000 1
O6 O 0.7183 0.7183 0.0000 1
O7 O 0.8907 0.3907 0.5000 1
```

The 10 most intense peaks (2θ = 5–70°), low angle first:
2theta, Rel. int.
23.7, 42
27.4, 100
33.0, 28
33.8, 69
34.4, 28
39.2, 31
47.3, 51
55.6, 27
59.4, 28
63.1, 28

=====

Entry 6:
# TlCu3Ru4O12
Simulated PXRD pattern, Cu Kα (λ = 1.5418 Å). Input: a DFT-relaxed cell (PBE, Alexandria).

Structural model:
```
data_TlCu3Ru4O12
_chemical_formula_sum 'Tl1 Cu3 Ru4 O12'
_symmetry_space_group_name_H-M 'P 1'
_symmetry_Int_Tables_number 1
_symmetry_space_group_name_Hall 'P 1'
_cell_length_a 6.5197
_cell_length_b 6.5197
_cell_length_c 6.5197
_cell_angle_alpha 109.47
_cell_angle_beta 109.47
_cell_angle_gamma 109.47
loop_
_atom_site_label
_atom_site_type_symbol
_atom_site_fract_x
_atom_site_fract_y
_atom_site_fract_z
_atom_site_occupancy
Tl1 Tl 0.0000 0.0000 0.0000 1
Cu1 Cu 0.0000 0.5000 0.5000 1
Cu2 Cu 0.5000 0.0000 0.5000 1
Cu3 Cu 0.5000 0.5000 0.0000 1
Ru1 Ru 0.0000 0.0000 0.5000 1
Ru2 Ru 0.0000 0.5000 0.0000 1
Ru3 Ru 0.5000 0.0000 0.0000 1
Ru4 Ru 0.5000 0.5000 0.5000 1
O1 O 0.1353 0.3121 0.8232 1
O2 O 0.1768 0.4889 0.3121 1
O3 O 0.1768 0.8647 0.6879 1
O4 O 0.3121 0.1768 0.4889 1
O5 O 0.3121 0.8232 0.1353 1
O6 O 0.4889 0.3121 0.1768 1
O7 O 0.5111 0.6879 0.8232 1
O8 O 0.6879 0.1768 0.8647 1
O9 O 0.6879 0.8232 0.5111 1
O10 O 0.8232 0.1353 0.3121 1
O11 O 0.8232 0.5111 0.6879 1
O12 O 0.8647 0.6879 0.1768 1
```

The 10 most intense peaks (2θ = 5–70°), low angle first:
2theta, Rel. int.
16.7, 14
29.1, 6
33.7, 100
37.8, 8
45.1, 9
48.4, 23
51.5, 2
60.2, 46
63.0, 3
68.2, 1

=====

Entry 7:
# Cu3SO6
Simulated PXRD pattern, Cu Kα (λ = 1.5418 Å). Input: a DFT-relaxed cell (PBE, Alexandria).

Structural model:
```
data_Cu3SO6
_chemical_formula_sum 'Cu6 S2 O12'
_symmetry_space_group_name_H-M 'P 1'
_symmetry_Int_Tables_number 1
_symmetry_space_group_name_Hall 'P 1'
_cell_length_a 6.6988
_cell_length_b 6.6988
_cell_length_c 5.1765
_cell_angle_alpha 90.00
_cell_angle_beta 90.00
_cell_angle_gamma 103.20
loop_
_atom_site_label
_atom_site_type_symbol
_atom_site_fract_x
_atom_site_fract_y
_atom_site_fract_z
_atom_site_occupancy
Cu1 Cu 0.0361 0.9639 0.5000 1
Cu2 Cu 0.1586 0.3856 0.5145 1
Cu3 Cu 0.3856 0.1586 0.0145 1
Cu4 Cu 0.6144 0.8414 0.5145 1
Cu5 Cu 0.8414 0.6144 0.0145 1
Cu6 Cu 0.9639 0.0361 0.0000 1
S1 S 0.3357 0.6643 0.9665 1
S2 S 0.6643 0.3357 0.4665 1
O1 O 0.1391 0.5655 0.8222 1
O2 O 0.1503 0.1741 0.2555 1
O3 O 0.1741 0.1503 0.7555 1
O4 O 0.2802 0.7198 0.2292 1
O5 O 0.4345 0.8609 0.8222 1
O6 O 0.4752 0.5248 0.9653 1
O7 O 0.5248 0.4752 0.4653 1
O8 O 0.5655 0.1391 0.3222 1
O9 O 0.7198 0.2802 0.7292 1
O10 O 0.8259 0.8497 0.2555 1
O11 O 0.8497 0.8259 0.7555 1
O12 O 0.8609 0.4345 0.3222 1
```

The 10 most intense peaks (2θ = 5–70°), low angle first:
2theta, Rel. int.
16.9, 15
24.1, 13
27.7, 31
32.4, 100
34.7, 18
40.6, 17
54.5, 17
55.4, 12
56.8, 15
60.7, 13

=====

Entry 8:
# Cu2SO5
Simulated PXRD pattern, Cu Kα (λ = 1.5418 Å). Input: a DFT-relaxed cell (PBE, Alexandria).

Structural model:
```
data_Cu2SO5
_chemical_formula_sum 'Cu8 S4 O20'
_symmetry_space_group_name_H-M 'P 1'
_symmetry_Int_Tables_number 1
_symmetry_space_group_name_Hall 'P 1'
_cell_length_a 8.1142
_cell_length_b 9.0589
_cell_length_c 5.9939
_cell_angle_alpha 90.00
_cell_angle_beta 90.00
_cell_angle_gamma 90.00
loop_
_atom_site_label
_atom_site_type_symbol
_atom_site_fract_x
_atom_site_fract_y
_atom_site_fract_z
_atom_site_occupancy
Cu1 Cu 0.0000 0.0000 0.2412 1
Cu2 Cu 0.0000 0.0000 0.7588 1
Cu3 Cu 0.1668 0.3668 0.5000 1
Cu4 Cu 0.3332 0.8668 0.0000 1
Cu5 Cu 0.5000 0.5000 0.2588 1
Cu6 Cu 0.5000 0.5000 0.7412 1
Cu7 Cu 0.6668 0.1332 0.0000 1
Cu8 Cu 0.8332 0.6332 0.5000 1
S1 S 0.2078 0.7573 0.5000 1
S2 S 0.2922 0.2573 0.0000 1
S3 S 0.7078 0.7427 0.0000 1
S4 S 0.7922 0.2427 0.5000 1
O1 O 0.0803 0.6384 0.5000 1
O2 O 0.1172 0.9241 0.0000 1
O3 O 0.1188 0.9092 0.5000 1
O4 O 0.1903 0.2496 0.2027 1
O5 O 0.1903 0.2496 0.7973 1
O6 O 0.3097 0.7496 0.2973 1
O7 O 0.3097 0.7496 0.7027 1
O8 O 0.3812 0.4092 0.0000 1
O9 O 0.3828 0.4241 0.5000 1
O10 O 0.4197 0.1384 0.0000 1
O11 O 0.5803 0.8616 0.0000 1
O12 O 0.6172 0.5759 0.5000 1
O13 O 0.6188 0.5908 0.0000 1
O14 O 0.6903 0.2504 0.2973 1
O15 O 0.6903 0.2504 0.7027 1
O16 O 0.8097 0.7504 0.2027 1
O17 O 0.8097 0.7504 0.7973 1
O18 O 0.8812 0.0908 0.5000 1
O19 O 0.8828 0.0759 0.0000 1
O20 O 0.9197 0.3616 0.5000 1
```

The 10 most intense peaks (2θ = 5–70°), low angle first:
2theta, Rel. int.
14.7, 100
17.7, 68
18.4, 46
22.5, 59
29.6, 85
31.6, 52
33.2, 31
33.4, 48
34.6, 32
35.1, 34

=====

Entry 9:
# CuSO4
Simulated PXRD pattern, Cu Kα (λ = 1.5418 Å). Input: a DFT-relaxed cell (PBE, Alexandria).

Structural model:
```
data_CuSO4
_chemical_formula_sum 'Cu2 S2 O8'
_symmetry_space_group_name_H-M 'P 1'
_symmetry_Int_Tables_number 1
_symmetry_space_group_name_Hall 'P 1'
_cell_length_a 4.2721
_cell_length_b 8.8206
_cell_length_c 4.2445
_cell_angle_alpha 90.00
_cell_angle_beta 90.00
_cell_angle_gamma 90.00
loop_
_atom_site_label
_atom_site_type_symbol
_atom_site_fract_x
_atom_site_fract_y
_atom_site_fract_z
_atom_site_occupancy
Cu1 Cu 0.2500 0.2500 0.0000 1
Cu2 Cu 0.7500 0.7500 0.0000 1
S1 S 0.2500 0.7500 0.5000 1
S2 S 0.7500 0.2500 0.5000 1
O1 O 0.0488 0.6519 0.2972 1
O2 O 0.0488 0.8481 0.7028 1
O3 O 0.4512 0.6519 0.7028 1
O4 O 0.4512 0.8481 0.2972 1
O5 O 0.5488 0.1519 0.7028 1
O6 O 0.5488 0.3481 0.2972 1
O7 O 0.9512 0.1519 0.2972 1
O8 O 0.9512 0.3481 0.7028 1
```

The 10 most intense peaks (2θ = 5–70°), low angle first:
2theta, Rel. int.
20.1, 100
31.4, 92
36.1, 17
43.0, 32
47.3, 9
60.3, 10
60.6, 10
60.9, 10
61.6, 10
65.5, 11

=====

Entry 10:
# Cu5S2O18
Simulated PXRD pattern, Cu Kα (λ = 1.5418 Å). Input: a DFT-relaxed cell (PBE, Alexandria).

Structural model:
```
data_Cu5S2O18
_chemical_formula_sum 'Cu5 S2 O18'
_symmetry_space_group_name_H-M 'P 1'
_symmetry_Int_Tables_number 1
_symmetry_space_group_name_Hall 'P 1'
_cell_length_a 5.4901
_cell_length_b 5.7513
_cell_length_c 10.7945
_cell_angle_alpha 82.58
_cell_angle_beta 88.44
_cell_angle_gamma 89.42
loop_
_atom_site_label
_atom_site_type_symbol
_atom_site_fract_x
_atom_site_fract_y
_atom_site_fract_z
_atom_site_occupancy
Cu1 Cu 0.0000 0.0000 0.0000 1
Cu2 Cu 0.0000 0.0000 0.5000 1
Cu3 Cu 0.0000 0.5000 0.0000 1
Cu4 Cu 0.4999 0.2505 0.9975 1
Cu5 Cu 0.5001 0.7495 0.0025 1
S1 S 0.2062 0.6683 0.3144 1
S2 S 0.7938 0.3317 0.6856 1
O1 O 0.0428 0.8682 0.3531 1
O2 O 0.0747 0.2268 0.0925 1
O3 O 0.1064 0.4417 0.3694 1
O4 O 0.1920 0.6998 0.1755 1
O5 O 0.3177 0.8500 0.5749 1
O6 O 0.3203 0.0130 0.9364 1
O7 O 0.3204 0.5195 0.9367 1
O8 O 0.3411 0.8166 0.6886 1
O9 O 0.4560 0.6974 0.3539 1
O10 O 0.5440 0.3026 0.6461 1
O11 O 0.6589 0.1834 0.3114 1
O12 O 0.6796 0.4805 0.0633 1
O13 O 0.6797 0.9870 0.0636 1
O14 O 0.6823 0.1500 0.4251 1
O15 O 0.8080 0.3002 0.8245 1
O16 O 0.8936 0.5583 0.6306 1
O17 O 0.9253 0.7732 0.9075 1
O18 O 0.9572 0.1318 0.6469 1
```

The 10 most intense peaks (2θ = 5–70°), low angle first:
2theta, Rel. int.
8.3, 100
16.6, 70
25.0, 39
32.6, 14
33.9, 13
35.4, 14
35.6, 13
36.4, 16
37.2, 23
41.1, 14